# Zn2Pd5Au2
Computed X-ray powder pattern, Cu Ka. Input: the GGA-PBE geometry in Alexandria.
Lines closer than 0.1° are merged.

Principal peaks in the range 2θ = 15–90°, by angle:
2theta  d_spacing  I/Imax
21.04  4.222  21
33.39  2.684  64
39.52  2.280  24
40.17  2.245  57
42.66  2.120  100
42.83  2.111  55
44.19  2.050  29
67.73  1.383  20
74.71  1.271  19
81.77  1.178  24

Crystal structure
```
data_Zn2Pd5Au2
_symmetry_space_group_name_H-M 'I m m a'
_symmetry_Int_Tables_number 74
_symmetry_space_group_name_Hall '-I 2b 2'
_cell_length_a 8.980
_cell_length_b 13.905
_cell_length_c 4.784
_cell_angle_alpha 90.00
_cell_angle_beta 90.00
_cell_angle_gamma 90.00
loop_
_atom_site_label
_atom_site_fract_x
_atom_site_fract_y
_atom_site_fract_z
Zn1 0.000 0.000 0.000
Zn2 0.000 0.250 0.090
Pd1 0.250 0.046 0.750
Pd2 0.250 0.150 0.250
Pd3 0.250 0.250 0.750
Au1 0.000 0.141 0.587
```

# LiHgGe
Computed X-ray powder pattern, Cu Ka. Input: the GGA-PBE geometry in Alexandria.
Lines closer than 0.1° are merged.

Principal peaks in the range 2θ = 15–90°, by angle:
2theta  d_spacing  I/Imax
20.18  4.399  100
29.75  3.003  81
30.89  2.895  69
34.44  2.604  66
37.18  2.418  51
37.92  2.373  28
43.42  2.084  61
46.93  1.936  54
49.69  1.835  25
70.67  1.333  28

Crystal structure
```
data_LiHgGe
_symmetry_space_group_name_H-M 'P m m a'
_symmetry_Int_Tables_number 51
_symmetry_space_group_name_Hall '-P 2a 2a'
_cell_length_a 5.596
_cell_length_b 2.895
_cell_length_c 7.118
_cell_angle_alpha 90.00
_cell_angle_beta 90.00
_cell_angle_gamma 90.00
loop_
_atom_site_label
_atom_site_fract_x
_atom_site_fract_y
_atom_site_fract_z
Li1 0.250 0.000 0.222
Hg1 0.250 0.500 0.872
Ge1 0.000 0.500 0.500
```

# Ho5Bi5Te
Computed X-ray powder pattern, Cu Ka. Input: the GGA-PBE geometry in Alexandria.
Lines closer than 0.1° are merged.

Principal peaks in the range 2θ = 15–90°, by angle:
2theta  d_spacing  I/Imax
28.50  3.132  88
28.67  3.113  87
28.85  3.094  88
40.79  2.212  34
40.99  2.202  100
41.13  2.195  67
50.73  1.800  37
50.87  1.795  35
67.00  1.397  30
67.57  1.386  32

Crystal structure
```
data_Ho5Bi5Te
_symmetry_space_group_name_H-M 'C 1 2/m 1'
_symmetry_Int_Tables_number 12
_symmetry_space_group_name_Hall '-C 2y'
_cell_length_a 13.967
_cell_length_b 6.188
_cell_length_c 8.850
_cell_angle_alpha 90.00
_cell_angle_beta 108.81
_cell_angle_gamma 90.00
loop_
_atom_site_label
_atom_site_fract_x
_atom_site_fract_y
_atom_site_fract_z
Ho1 0.000 0.000 0.000
Ho2 0.169 0.500 0.334
Ho3 0.173 0.500 0.835
Bi1 0.000 0.500 0.500
Bi2 0.157 0.000 0.340
Bi3 0.157 0.000 0.816
Te1 0.000 0.500 0.000
```

# Li3In4Ga2
Computed X-ray powder pattern, Cu Ka. Input: the GGA-PBE geometry in Alexandria.
Lines closer than 0.1° are merged.

Principal peaks in the range 2θ = 15–90°, by angle:
2theta  d_spacing  I/Imax
22.34  3.980  100
25.91  3.438  45
26.31  3.387  42
37.55  2.395  55
37.91  2.373  43
38.62  2.331  23
39.03  2.308  21
39.17  2.300  63
41.70  2.166  30
46.45  1.955  41

Crystal structure
```
data_Li3In4Ga2
_symmetry_space_group_name_H-M 'C 1 2/m 1'
_symmetry_Int_Tables_number 12
_symmetry_space_group_name_Hall '-C 2y'
_cell_length_a 8.322
_cell_length_b 4.747
_cell_length_c 10.531
_cell_angle_alpha 90.00
_cell_angle_beta 105.23
_cell_angle_gamma 90.00
loop_
_atom_site_label
_atom_site_fract_x
_atom_site_fract_y
_atom_site_fract_z
Li1 0.000 0.000 0.000
Li2 0.127 0.500 0.768
In1 0.084 0.000 0.383
In2 0.187 0.500 0.062
Ga1 0.229 0.500 0.332
```

# MnTlSe
Computed X-ray powder pattern, Cu Ka. Input: the GGA-PBE geometry in Alexandria.
Lines closer than 0.1° are merged.

Principal peaks in the range 2θ = 15–90°, by angle:
2theta  d_spacing  I/Imax
28.64  3.116  56
29.25  3.053  28
30.42  2.938  94
31.28  2.860  100
33.46  2.678  69
34.77  2.580  69
42.92  2.107  35
51.12  1.787  68
55.31  1.661  40
59.65  1.550  44

Crystal structure
```
data_MnTlSe
_symmetry_space_group_name_H-M 'R -3 m'
_symmetry_Int_Tables_number 166
_symmetry_space_group_name_Hall '-R 3 2"'
_cell_length_a 3.5735
_cell_length_b 3.5735
_cell_length_c 37.3966
_cell_angle_alpha 90.00
_cell_angle_beta 90.00
_cell_angle_gamma 120.00
loop_
_atom_site_label
_atom_site_fract_x
_atom_site_fract_y
_atom_site_fract_z
Mn1 0.0000 0.0000 0.1525
Tl1 0.0000 0.0000 0.3723
Se1 0.0000 0.0000 0.2153
```

# Ir6OsPd
Computed X-ray powder pattern, Cu Ka. Input: the GGA-PBE geometry in Alexandria.
Lines closer than 0.1° are merged.

Principal peaks in the range 2θ = 15–90°, by angle:
2theta  d_spacing  I/Imax
25.71  3.465  1
32.67  2.741  1
40.30  2.238  100
46.72  1.944  16
46.96  1.935  33
68.40  1.372  21
68.59  1.368  11
82.30  1.171  13
82.66  1.167  26
87.10  1.119  11

Crystal structure
```
data_Ir6OsPd
_symmetry_space_group_name_H-M 'P 4/m m m'
_symmetry_Int_Tables_number 123
_symmetry_space_group_name_Hall '-P 4 2'
_cell_length_a 3.870
_cell_length_b 3.870
_cell_length_c 7.778
_cell_angle_alpha 90.00
_cell_angle_beta 90.00
_cell_angle_gamma 90.00
loop_
_atom_site_label
_atom_site_fract_x
_atom_site_fract_y
_atom_site_fract_z
Ir1 0.000 0.000 0.000
Ir2 0.000 0.000 0.500
Ir3 0.000 0.500 0.243
Os1 0.500 0.500 0.000
Pd1 0.500 0.500 0.500
```